Entry 1:
Structure and computed X-ray powder pattern of ZnCr2O4 (a crystal structure in the Materials Project, relaxed with PBE+U; Cu Kα, 1.54184 Å).
Kinematic intensities with the Lorentz-polarization factor, no thermal factor.

Principal peaks in the range 5° ≤ 2θ ≤ 70°, low angle first:
| 2theta | I_rel |
| --- | --- |
| 32.74 | 1000 |
| 33.09 | 230 |
| 36.70 | 244 |
| 37.20 | 175 |
| 42.60 | 479 |
| 45.57 | 341 |
| 56.64 | 203 |
| 60.23 | 167 |
| 64.10 | 149 |
| 64.27 | 155 |

Crystal structure
```
data_ZnCr2O4
_chemical_formula_sum 'Zn4 Cr8 O16'
_symmetry_space_group_name_H-M 'P 1'
_symmetry_Int_Tables_number 1
_cell_length_a 2.9405
_cell_length_b 9.6675
_cell_length_c 9.9536
_cell_angle_alpha 90.00
_cell_angle_beta 90.00
_cell_angle_gamma 90.00
loop_
_symmetry_equiv_pos_as_xyz
'x,y,z'
loop_
_atom_site_label
_atom_site_fract_x
_atom_site_fract_y
_atom_site_fract_z
Zn1 0.1703 0.1456 0.2500
Zn2 0.1703 0.3544 0.7500
Zn3 0.8297 0.6456 0.2500
Zn4 0.8297 0.8544 0.7500
Cr1 0.2688 0.6169 0.5703
Cr2 0.2688 0.6169 0.9297
Cr3 0.2688 0.8831 0.0703
Cr4 0.2688 0.8831 0.4297
Cr5 0.7312 0.1169 0.5703
Cr6 0.7312 0.1169 0.9297
Cr7 0.7312 0.3831 0.0703
Cr8 0.7312 0.3831 0.4297
O1 0.2279 0.2500 0.0000
O2 0.2279 0.2500 0.5000
O3 0.2323 0.5182 0.1103
O4 0.2323 0.5182 0.3897
O5 0.2323 0.9818 0.6103
O6 0.2323 0.9818 0.8897
O7 0.3177 0.7111 0.7500
O8 0.3177 0.7889 0.2500
O9 0.6823 0.2111 0.7500
O10 0.6823 0.2889 0.2500
O11 0.7677 0.0182 0.1103
O12 0.7677 0.0182 0.3897
O13 0.7677 0.4818 0.6103
O14 0.7677 0.4818 0.8897
O15 0.7721 0.7500 0.0000
O16 0.7721 0.7500 0.5000
```

---

Entry 2:
Structure and computed X-ray powder pattern of ZnCr2O7 (a crystal structure in the Materials Project, relaxed with PBE+U; Cu Kα, 1.54184 Å).
Kinematic intensities with the Lorentz-polarization factor, no thermal factor.

Principal peaks in the range 5° ≤ 2θ ≤ 70°, low angle first:
| 2theta | I_rel |
| --- | --- |
| 15.07 | 628 |
| 17.52 | 723 |
| 20.46 | 910 |
| 24.63 | 936 |
| 25.11 | 1000 |
| 28.95 | 681 |
| 29.42 | 333 |
| 35.47 | 393 |
| 37.78 | 329 |
| 38.69 | 394 |

Crystal structure
```
data_ZnCr2O7
_chemical_formula_sum 'Zn2 Cr4 O14'
_symmetry_space_group_name_H-M 'P 1'
_symmetry_Int_Tables_number 1
_cell_length_a 6.1967
_cell_length_b 7.0918
_cell_length_c 7.6205
_cell_angle_alpha 90.00
_cell_angle_beta 108.46
_cell_angle_gamma 90.00
loop_
_symmetry_equiv_pos_as_xyz
'x,y,z'
loop_
_atom_site_label
_atom_site_fract_x
_atom_site_fract_y
_atom_site_fract_z
Zn1 0.1172 0.0000 0.1634
Zn2 0.8828 0.5000 0.8366
Cr1 0.0991 0.4786 0.2889
Cr2 0.3483 0.5224 0.7173
Cr3 0.6517 0.0224 0.2827
Cr4 0.9009 0.9786 0.7111
O1 0.0558 0.5912 0.0868
O2 0.1215 0.4079 0.7364
O3 0.1377 0.9656 0.6707
O4 0.1926 0.2629 0.2738
O5 0.2862 0.5997 0.4832
O6 0.4009 0.6998 0.8508
O7 0.4199 0.8852 0.2310
O8 0.5801 0.3852 0.7690
O9 0.5991 0.1998 0.1492
O10 0.7138 0.0997 0.5168
O11 0.8074 0.7629 0.7262
O12 0.8623 0.4656 0.3293
O13 0.8785 0.9079 0.2636
O14 0.9442 0.0912 0.9132
```

---

Entry 3:
Structure and computed X-ray powder pattern of ZnCr2O5 (a crystal structure in the Materials Project, relaxed with PBE+U; Cu Kα, 1.54184 Å).
Kinematic intensities with the Lorentz-polarization factor, no thermal factor.

Principal peaks in the range 5° ≤ 2θ ≤ 70°, low angle first:
| 2theta | I_rel |
| --- | --- |
| 18.39 | 481 |
| 23.87 | 1000 |
| 29.39 | 754 |
| 32.04 | 881 |
| 32.96 | 729 |
| 34.80 | 882 |
| 35.82 | 369 |
| 48.70 | 590 |
| 53.48 | 388 |
| 56.18 | 417 |

Crystal structure
```
data_ZnCr2O5
_chemical_formula_sum 'Zn2 Cr4 O10'
_symmetry_space_group_name_H-M 'P 1'
_symmetry_Int_Tables_number 1
_cell_length_a 3.4265
_cell_length_b 11.7377
_cell_length_c 4.8253
_cell_angle_alpha 90.00
_cell_angle_beta 90.00
_cell_angle_gamma 90.00
loop_
_symmetry_equiv_pos_as_xyz
'x,y,z'
loop_
_atom_site_label
_atom_site_fract_x
_atom_site_fract_y
_atom_site_fract_z
Zn1 0.2500 0.2500 0.1292
Zn2 0.7500 0.7500 0.8708
Cr1 0.2500 0.6005 0.4221
Cr2 0.2500 0.8995 0.4221
Cr3 0.7500 0.1005 0.5779
Cr4 0.7500 0.3995 0.5779
O1 0.2500 0.0720 0.4290
O2 0.2500 0.4280 0.4290
O3 0.2500 0.6428 0.0776
O4 0.2500 0.7500 0.5928
O5 0.2500 0.8572 0.0776
O6 0.7500 0.1428 0.9224
O7 0.7500 0.2500 0.4072
O8 0.7500 0.3572 0.9224
O9 0.7500 0.5720 0.5710
O10 0.7500 0.9280 0.5710
```

---

Entry 4:
Structure and computed X-ray powder pattern of ZnCr2O4 (a crystal structure in the Materials Project, relaxed with PBE+U; Cu Kα, 1.54184 Å).
Kinematic intensities with the Lorentz-polarization factor, no thermal factor.

Principal peaks in the range 5° ≤ 2θ ≤ 70°, low angle first:
| 2theta | I_rel |
| --- | --- |
| 29.72 | 522 |
| 29.88 | 365 |
| 34.37 | 718 |
| 34.47 | 678 |
| 34.86 | 1000 |
| 35.55 | 960 |
| 41.95 | 540 |
| 55.75 | 437 |
| 61.81 | 534 |
| 62.08 | 533 |

Crystal structure
```
data_ZnCr2O4
_chemical_formula_sum 'Zn8 Cr16 O32'
_symmetry_space_group_name_H-M 'P 1'
_symmetry_Int_Tables_number 1
_cell_length_a 6.0080
_cell_length_b 6.0080
_cell_length_c 20.2367
_cell_angle_alpha 100.65
_cell_angle_beta 100.65
_cell_angle_gamma 60.17
loop_
_symmetry_equiv_pos_as_xyz
'x,y,z'
loop_
_atom_site_label
_atom_site_fract_x
_atom_site_fract_y
_atom_site_fract_z
Zn1 0.0000 0.0000 0.0000
Zn2 0.2503 0.2503 0.7506
Zn3 0.3774 0.3774 0.6260
Zn4 0.5032 0.5032 0.5007
Zn5 0.5319 0.5319 0.0945
Zn6 0.6267 0.6267 0.3741
Zn7 0.7544 0.7544 0.2503
Zn8 0.7797 0.7797 0.8438
Cr1 0.0012 0.5052 0.9998
Cr2 0.0022 0.5022 0.5003
Cr3 0.0317 0.0317 0.5936
Cr4 0.1274 0.1274 0.8741
Cr5 0.2245 0.2245 0.1536
Cr6 0.2506 0.7524 0.7510
Cr7 0.2553 0.7536 0.2485
Cr8 0.2853 0.2853 0.3444
Cr9 0.4740 0.4740 0.9053
Cr10 0.5022 0.0022 0.5003
Cr11 0.5052 0.0012 0.9998
Cr12 0.7217 0.7217 0.6580
Cr13 0.7524 0.2506 0.7510
Cr14 0.7536 0.2553 0.2485
Cr15 0.8776 0.8776 0.1228
Cr16 0.9716 0.9716 0.4062
O1 0.0473 0.0473 0.6920
O2 0.0544 0.0544 0.1909
O3 0.0610 0.5888 0.1847
O4 0.0800 0.5557 0.6904
O5 0.1597 0.6993 0.0622
O6 0.1914 0.1914 0.5539
O7 0.1964 0.1964 0.0555
O8 0.1972 0.6723 0.5611
O9 0.3020 0.3020 0.4430
O10 0.3046 0.3046 0.9429
O11 0.3085 0.8371 0.9364
O12 0.3312 0.8066 0.4387
O13 0.4050 0.9535 0.8124
O14 0.4417 0.4417 0.3019
O15 0.4427 0.9284 0.3107
O16 0.4508 0.4508 0.8077
O17 0.5557 0.0800 0.6904
O18 0.5628 0.5628 0.6976
O19 0.5645 0.5645 0.1960
O20 0.5888 0.0610 0.1847
O21 0.6723 0.1972 0.5611
O22 0.6993 0.1597 0.0622
O23 0.7014 0.7014 0.0576
O24 0.7032 0.7032 0.5580
O25 0.8066 0.3312 0.4387
O26 0.8085 0.8085 0.9451
O27 0.8135 0.8135 0.4462
O28 0.8371 0.3085 0.9364
O29 0.9284 0.4427 0.3107
O30 0.9493 0.9493 0.3050
O31 0.9514 0.9514 0.8091
O32 0.9535 0.4050 0.8124
```

---

What did the third record say?
Structure and computed X-ray powder pattern of ZnCr2O5 (a crystal structure in the Materials Project, relaxed with PBE+U; Cu Kα, 1.54184 Å).
Kinematic intensities with the Lorentz-polarization factor, no thermal factor.

Principal peaks in the range 5° ≤ 2θ ≤ 70°, low angle first:
| 2theta | I_rel |
| --- | --- |
| 18.39 | 481 |
| 23.87 | 1000 |
| 29.39 | 754 |
| 32.04 | 881 |
| 32.96 | 729 |
| 34.80 | 882 |
| 35.82 | 369 |
| 48.70 | 590 |
| 53.48 | 388 |
| 56.18 | 417 |

Crystal structure
```
data_ZnCr2O5
_chemical_formula_sum 'Zn2 Cr4 O10'
_symmetry_space_group_name_H-M 'P 1'
_symmetry_Int_Tables_number 1
_cell_length_a 3.4265
_cell_length_b 11.7377
_cell_length_c 4.8253
_cell_angle_alpha 90.00
_cell_angle_beta 90.00
_cell_angle_gamma 90.00
loop_
_symmetry_equiv_pos_as_xyz
'x,y,z'
loop_
_atom_site_label
_atom_site_fract_x
_atom_site_fract_y
_atom_site_fract_z
Zn1 0.2500 0.2500 0.1292
Zn2 0.7500 0.7500 0.8708
Cr1 0.2500 0.6005 0.4221
Cr2 0.2500 0.8995 0.4221
Cr3 0.7500 0.1005 0.5779
Cr4 0.7500 0.3995 0.5779
O1 0.2500 0.0720 0.4290
O2 0.2500 0.4280 0.4290
O3 0.2500 0.6428 0.0776
O4 0.2500 0.7500 0.5928
O5 0.2500 0.8572 0.0776
O6 0.7500 0.1428 0.9224
O7 0.7500 0.2500 0.4072
O8 0.7500 0.3572 0.9224
O9 0.7500 0.5720 0.5710
O10 0.7500 0.9280 0.5710
```